Record 1
Simulated powder X-ray diffraction pattern
Compound: RbLuSe2
Radiation: λ = 1.5418 Å (Cu Kα)
Structure: a GGA-PBE-relaxed structure
Neutral-atom scattering factors, no anomalous dispersion.

Atomic structure:
a b c (Å): 4.1675 4.1675 23.9373
angles (deg): 90.00 90.00 120.00
Atoms (fractional coordinates):
Rb  0.0000  0.0000  0.0000
Rb  0.3333  0.6667  0.6667
Rb  0.6667  0.3333  0.3333
Lu  0.0000  0.0000  0.5000
Lu  0.3333  0.6667  0.1667
Lu  0.6667  0.3333  0.8333
Se  0.0000  0.0000  0.2306
Se  0.0000  0.0000  0.7694
Se  0.3333  0.6667  0.4360
Se  0.3333  0.6667  0.8973
Se  0.6667  0.3333  0.1027
Se  0.6667  0.3333  0.5640

Most intense lines, 2θ from 5° to 70°, by intensity:
d = 3.091 Å, 28.89°, intensity 100; d = 7.979 Å, 11.09°, intensity 38; d = 2.084 Å, 43.43°, intensity 36; d = 2.303 Å, 39.11°, intensity 34; d = 1.728 Å, 53.00°, intensity 18; d = 1.545 Å, 59.85°, intensity 16; d = 2.482 Å, 36.19°, intensity 15; d = 1.441 Å, 64.69°, intensity 12; d = 1.995 Å, 45.47°, intensity 12; d = 3.455 Å, 25.78°, intensity 9

***

Record 2
Simulated powder X-ray diffraction pattern
Compound: LuRe2
Radiation: λ = 1.5418 Å (Cu Kα)
Structure: a GGA-PBE-relaxed structure
Neutral-atom scattering factors, no anomalous dispersion.

Atomic structure:
a b c (Å): 5.3956 5.3956 8.7207
angles (deg): 90.00 90.00 120.00
Atoms (fractional coordinates):
Lu  0.3333  0.6667  0.0630
Lu  0.3333  0.6667  0.4370
Lu  0.6667  0.3333  0.5630
Lu  0.6667  0.3333  0.9370
Re  0.0000  0.0000  0.0000
Re  0.0000  0.0000  0.5000
Re  0.1720  0.3439  0.7500
Re  0.1720  0.8280  0.7500
Re  0.3439  0.1720  0.2500
Re  0.6561  0.8280  0.7500
Re  0.8280  0.1720  0.2500
Re  0.8280  0.6561  0.2500

Most intense lines, 2θ from 5° to 70°, by intensity:
d = 2.294 Å, 39.27°, intensity 100; d = 2.257 Å, 39.95°, intensity 90; d = 2.468 Å, 36.40°, intensity 67; d = 1.398 Å, 66.95°, intensity 32; d = 1.349 Å, 69.71°, intensity 29; d = 2.698 Å, 33.21°, intensity 26; d = 1.467 Å, 63.41°, intensity 25; d = 1.509 Å, 61.43°, intensity 25; d = 2.059 Å, 43.97°, intensity 22; d = 2.180 Å, 41.42°, intensity 21

***

Record 3
Simulated powder X-ray diffraction pattern
Compound: LuRh
Radiation: λ = 1.5418 Å (Cu Kα)
Structure: a GGA-PBE-relaxed structure
Neutral-atom scattering factors, no anomalous dispersion.

Atomic structure:
a b c (Å): 3.3573 3.3573 3.3573
angles (deg): 90.00 90.00 90.00
Atoms (fractional coordinates):
Lu  0.0000  0.0000  0.0000
Rh  0.5000  0.5000  0.5000

Most intense lines, 2θ from 5° to 70°, by intensity:
d = 2.374 Å, 37.90°, intensity 100; d = 1.371 Å, 68.45°, intensity 35; d = 1.679 Å, 54.68°, intensity 17; d = 3.357 Å, 26.55°, intensity 7; d = 1.501 Å, 61.79°, intensity 3; d = 1.938 Å, 46.87°, intensity 2